Entry 1:
This entry pairs a crystal structure of Rb3LiAg2F6 with its computed powder X-ray diffraction pattern. Radiation: λ = 1.5418 Å (Cu Kα). Structure: a cell relaxed with GGA-PBE.
Intensities are scaled so that the largest is 1000.

Most intense lines, 2θ = 15–90°, most intense first:
- d 3.164, intensity 1000, hkl 1 1 0
- d 2.929, intensity 880, hkl 0 1 2
- d 2.149, intensity 618, hkl 2 0 2
- d 1.778, intensity 391, hkl 1 2 2
- d 4.299, intensity 225, hkl 0 1 1
- d 1.582, intensity 207, hkl 2 2 0
- d 1.827, intensity 199, hkl 3 0 0
- d 1.392, intensity 179, hkl 3 1 2
- d 1.652, intensity 112, hkl 1 0 4
- d 5.481, intensity 108, hkl 1 0 0

```
12
Lattice="6.3289 0.0000 0.0000 -3.1645 5.4810 0.0000 0.0000 0.0000 6.9296" Properties=species:S:1:pos:R:3 pbc="T T T"
Rb 0.0000 0.0000 0.0000
Rb 0.0000 3.6540 4.3144
Rb 3.1645 1.8270 2.6152
Li 0.0000 0.0000 3.4648
Ag 0.0000 3.6540 1.0209
Ag 3.1645 1.8270 5.9087
F 0.0000 1.7190 2.1528
F -1.6757 4.6215 2.1528
F 1.4887 0.8595 4.7768
F 1.6757 4.6215 2.1528
F 4.8402 0.8595 4.7768
F 3.1645 3.7619 4.7768
```


Entry 2:
This entry pairs a crystal structure of ErTlNi with its computed powder X-ray diffraction pattern. Radiation: λ = 1.5418 Å (Cu Kα). Structure: a cell relaxed with GGA-PBE.
Intensities are scaled so that the largest is 1000.

Most intense lines, 2θ = 15–90°, most intense first:
- d 2.647, intensity 1000, hkl 3 1 1
- d 2.458, intensity 483, hkl 4 1 0
- d 2.506, intensity 320, hkl 4 0 2
- d 2.599, intensity 317, hkl 1 1 2
- d 1.834, intensity 255, hkl 0 2 0
- d 1.480, intensity 200, hkl 4 2 2
- d 3.037, intensity 180, hkl 4 0 1
- d 2.211, intensity 152, hkl 3 0 3
- d 2.070, intensity 146, hkl 1 1 3
- d 1.539, intensity 145, hkl 7 1 2

```
18
Lattice="13.2309 0.0000 0.0000 0.0000 3.6681 0.0000 0.0000 0.0000 7.6661" Properties=species:S:1:pos:R:3 pbc="T T T"
Er 0.6194 0.0000 1.6524
Er 3.3077 0.0000 6.4986
Er 5.9960 0.0000 1.6524
Er 7.2349 0.0000 6.0137
Er 9.9232 0.0000 1.1675
Er 12.6114 0.0000 6.0137
Tl 1.5414 1.8341 4.4157
Tl 3.3077 1.8341 1.4148
Tl 5.0741 1.8341 4.4157
Tl 8.1568 1.8341 3.2504
Tl 9.9232 1.8341 6.2513
Tl 11.6895 1.8341 3.2504
Ni 1.1723 1.8341 7.2234
Ni 3.3077 0.0000 3.4276
Ni 5.4432 1.8341 7.2234
Ni 7.7877 1.8341 0.4427
Ni 9.9232 0.0000 4.2386
Ni 12.0586 1.8341 0.4427
```


Entry 3:
This entry pairs a crystal structure of Na2AgCl4 with its computed powder X-ray diffraction pattern. Radiation: λ = 1.5418 Å (Cu Kα). Structure: a cell relaxed with GGA-PBE.
Intensities are scaled so that the largest is 1000.

Most intense lines, 2θ = 15–90°, most intense first:
- d 4.801, intensity 1000, hkl 1 1 1
- d 2.387, intensity 433, hkl 1 3 1
- d 1.967, intensity 393, hkl 3 1 3
- d 3.345, intensity 383, hkl 1 1 3
- d 2.347, intensity 354, hkl 1 1 5
- d 3.891, intensity 341, hkl 0 2 0
- d 2.401, intensity 293, hkl 2 2 2
- d 2.972, intensity 212, hkl 1 0 4
- d 2.578, intensity 193, hkl 2 2 0
- d 1.507, intensity 167, hkl 2 4 4

```
28
Lattice="6.8813 0.0000 0.0000 0.0000 7.7830 0.0000 0.0000 0.0000 13.1792" Properties=species:S:1:pos:R:3 pbc="T T T"
Na 0.0441 0.8976 1.8982
Na 0.0441 2.9938 8.4878
Na 3.3965 4.7891 1.8982
Na 3.3965 6.8853 8.4878
Na 3.4847 0.8976 4.6914
Na 3.4847 2.9938 11.2810
Na 6.8372 4.7891 4.6914
Na 6.8372 6.8853 11.2810
Ag 0.0000 0.0000 6.5896
Ag 0.0000 3.8915 0.0000
Ag 3.4406 0.0000 0.0000
Ag 3.4406 3.8915 6.5896
Cl 0.9069 0.3045 8.8985
Cl 0.9069 3.5870 2.3089
Cl 1.3949 1.2569 12.4863
Cl 1.3949 2.6346 5.8967
Cl 2.0457 5.1484 12.4863
Cl 2.0457 6.5260 5.8967
Cl 2.5338 4.1960 8.8985
Cl 2.5338 7.4785 2.3089
Cl 4.3475 0.3045 10.8703
Cl 4.3475 3.5870 4.2807
Cl 4.8356 1.2569 7.2825
Cl 4.8356 2.6346 0.6929
Cl 5.4863 5.1484 7.2825
Cl 5.4863 6.5260 0.6929
Cl 5.9744 4.1960 10.8703
Cl 5.9744 7.4785 4.2807
```